Calculated powder diffraction line list of AcFe2RhO6 for Cu Kα, from a PBE+U-relaxed structure.
Peak positions follow from Bragg's law for the DFT cell and can differ from measured ones.

Most intense lines, 10 to 90 degrees two-theta, in order of falling intensity:
two_theta, I (rel.)
31.78, 100
55.86, 32
22.49, 27
45.91, 24
31.16, 22
57.98, 21
32.86, 21
19.69, 20
37.11, 17
22.15, 17

Structural model:
Cell: 5.452 5.740 8.025 Å, 90.00 90.00 90.00°
Space group Pnnm (No. 58)
Unique sites:
Ac 0.000 0.000 0.000 x2
Fe 0.000 0.500 0.205 x4
Rh 0.000 0.000 0.500 x2
O 0.169 0.225 0.323 x8
O 0.169 0.365 0.000 x4